This entry pairs a crystal structure of LiCoC4O4 with its computed powder XRD pattern. Radiation: copper Kα. Structure: a cell relaxed with GGA+U.
Intensities are scaled so that the largest is 100.

Top 10 peaks for 5° ≤ 2θ ≤ 70°, sorted by position:
h k l, 2θ/deg, Rel. int.
1 0 0, 16.06, 50
1 1 0, 22.79, 100
1 1 1, 28.01, 68
2 1 0, 36.41, 32
2 1 1, 40.02, 21
2 2 0, 46.55, 29
3 0 0, 49.56, 18
3 1 0, 52.43, 4
3 1 1, 55.21, 10
3 2 1, 63.03, 23

```
data_LiCoC4O4
_chemical_formula_sum 'Li1 Co1 C4 O4'
_space_group_name_H-M_alt 'P -4 3 m'
_space_group_IT_number 215
_space_group_name_Hall 'P -4 2 3'
_cell_length_a 5.518
_cell_length_b 5.518
_cell_length_c 5.518
_cell_angle_alpha 90.00
_cell_angle_beta 90.00
_cell_angle_gamma 90.00
loop_
_atom_site_label
_atom_site_type_symbol
_atom_site_fract_x
_atom_site_fract_y
_atom_site_fract_z
_atom_site_occupancy
Li1 Li 0.000 0.000 0.000 1
Co1 Co 0.500 0.500 0.500 1
C1 C 0.321 0.321 0.321 1
O1 O 0.198 0.198 0.198 1
```